Record 1
Calculated powder diffraction line list of Tb8YCd2 for Cu Kα, from a cell relaxed with PBE.
Lines closer than 0.1° are merged.

Crystal structure
a = 8.7642 Å, b = 8.7642 Å, c = 5.6058 Å
α = 101.20°, β = 101.20°, γ = 119.92°
Element x y z (fractional)
Tb 0.0946 0.3199 0.6139
Tb 0.2199 0.7801 0.0000
Tb 0.3199 0.0946 0.6139
Tb 0.4013 0.4013 0.2019
Tb 0.5987 0.5987 0.7981
Tb 0.6801 0.9054 0.3861
Tb 0.7801 0.2199 0.0000
Tb 0.9054 0.6801 0.3861
Y 0.0000 0.0000 0.0000
Cd 0.3057 0.6943 0.5000
Cd 0.6943 0.3057 0.5000

Top 8 peaks for 10° ≤ 2θ ≤ 90°, low angle first:
d (Å)	2theta	I_rel
3.058	29.21	74
3.009	29.69	47
2.843	31.46	100
2.767	32.36	81
2.749	32.57	60
2.714	33.01	48
2.647	33.87	100
1.556	59.41	33


Record 2
Calculated powder diffraction line list of PrNd4DyTm2 for Cu Kα, from a cell relaxed with PBE.
Lines closer than 0.1° are merged.

Crystal structure
a = 6.2488 Å, b = 6.2488 Å, c = 10.2852 Å
α = 114.42°, β = 114.42°, γ = 48.53°
Element x y z (fractional)
Pr 0.0000 0.0000 0.0000
Nd 0.2491 0.2491 0.8731
Nd 0.2506 0.2506 0.3763
Nd 0.7494 0.7494 0.6237
Nd 0.7509 0.7509 0.1269
Dy 0.0000 0.0000 0.5000
Tm 0.4998 0.4998 0.2524
Tm 0.5002 0.5002 0.7476

Top 8 peaks for 10° ≤ 2θ ≤ 90°, low angle first:
d (Å)	2theta	I_rel
2.955	30.24	100
2.570	34.92	34
2.539	35.36	17
1.817	50.21	12
1.806	50.52	18
1.547	59.77	22
1.534	60.33	14
1.172	82.29	9


Record 3
Calculated powder diffraction line list of Pm2ErTm5Sc for Cu Kα, from a cell relaxed with PBE.
Lines closer than 0.1° are merged.

Crystal structure
a = 9.7887 Å, b = 9.7887 Å, c = 9.7887 Å
α = 129.07°, β = 129.07°, γ = 74.90°
Element x y z (fractional)
Pm 0.1193 0.6193 0.7386
Pm 0.3807 0.1193 0.5000
Pm 0.6193 0.8807 0.5000
Pm 0.8807 0.3807 0.2614
Er 0.2500 0.2500 0.0000
Er 0.7500 0.7500 0.0000
Tm 0.0000 0.0000 0.0000
Tm 0.0673 0.1469 0.5000
Tm 0.1469 0.6469 0.0795
Tm 0.3531 0.4327 0.5000
Tm 0.4327 0.9327 0.0795
Tm 0.5000 0.5000 0.0000
Tm 0.5673 0.0673 0.9205
Tm 0.6469 0.5673 0.5000
Tm 0.8531 0.3531 0.9205
Tm 0.9327 0.8531 0.5000
Sc 0.2500 0.7500 0.5000
Sc 0.7500 0.2500 0.5000

Top 8 peaks for 10° ≤ 2θ ≤ 90°, low angle first:
d (Å)	2theta	I_rel
3.045	29.33	63
2.976	30.03	52
2.855	31.33	100
2.662	33.67	27
2.309	39.01	18
1.899	47.89	16
1.694	54.14	21
1.519	60.98	13


Record 4
Calculated powder diffraction line list of Na6Tl3Br14 for Cu Kα, from a cell relaxed with PBE.
Lines closer than 0.1° are merged.

Crystal structure
a = 11.2077 Å, b = 11.2077 Å, c = 7.3152 Å
α = 90.00°, β = 90.00°, γ = 120.00°
Element x y z (fractional)
Na 0.1174 0.7555 0.0000
Na 0.2445 0.3619 0.0000
Na 0.4523 0.0852 0.5116
Na 0.6329 0.5477 0.5116
Na 0.6381 0.8826 0.0000
Na 0.9148 0.3671 0.5116
Tl 0.0000 0.0000 0.4076
Tl 0.3333 0.6667 0.4265
Tl 0.6667 0.3333 0.9412
Br 0.0000 0.0000 0.7612
Br 0.1041 0.5209 0.1879
Br 0.1852 0.4280 0.6364
Br 0.2428 0.8148 0.6364
Br 0.2456 0.1401 0.2519
Br 0.4168 0.8959 0.1879
Br 0.4283 0.2982 0.7533
Br 0.4791 0.5832 0.1879
Br 0.5720 0.7572 0.6364
Br 0.6667 0.3333 0.3348
Br 0.7018 0.1301 0.7533
Br 0.8599 0.1054 0.2519
Br 0.8699 0.5717 0.7533
Br 0.8946 0.7544 0.2519

Top 8 peaks for 10° ≤ 2θ ≤ 90°, low angle first:
d (Å)	2theta	I_rel
5.842	15.17	67
5.604	15.81	89
4.044	21.98	34
3.279	27.19	100
3.063	29.16	52
2.424	37.09	51
2.118	42.69	40
2.032	44.59	55


Record 5
Calculated powder diffraction line list of HfMg2Sc2 for Cu Kα, from a cell relaxed with PBE.
Lines closer than 0.1° are merged.

Crystal structure
a = 11.3132 Å, b = 11.3132 Å, c = 11.3132 Å
α = 163.58°, β = 163.58°, γ = 23.30°
Element x y z (fractional)
Hf 0.0000 0.0000 0.0000
Mg 0.2022 0.2022 0.0000
Mg 0.7978 0.7978 0.0000
Sc 0.4021 0.4021 0.0000
Sc 0.5979 0.5979 0.0000

Top 8 peaks for 10° ≤ 2θ ≤ 90°, low angle first:
d (Å)	2theta	I_rel
5.540	16.00	23
3.197	27.91	23
2.960	30.19	35
2.611	34.35	100
2.284	39.44	34
2.261	39.87	18
1.591	57.98	21
1.374	68.28	26


Record 6
Calculated powder diffraction line list of Ba2PPd6Au for Cu Kα, from a cell relaxed with PBE.
Lines closer than 0.1° are merged.

Crystal structure
a = 5.8012 Å, b = 6.4778 Å, c = 7.3182 Å
α = 72.57°, β = 66.68°, γ = 63.51°
Element x y z (fractional)
Ba 0.2229 0.2300 0.3237
Ba 0.7771 0.7700 0.6763
P 0.0000 0.0000 0.0000
Pd 0.2359 0.2390 0.8113
Pd 0.2451 0.6322 0.8776
Pd 0.2865 0.7609 0.1885
Pd 0.7135 0.2391 0.8115
Pd 0.7549 0.3678 0.1224
Pd 0.7641 0.7610 0.1887
Au 0.5000 0.5000 0.5000

Top 8 peaks for 10° ≤ 2θ ≤ 90°, low angle first:
d (Å)	2theta	I_rel
5.733	15.46	40
3.195	27.92	35
3.019	29.59	60
2.469	36.39	67
2.432	36.96	56
2.358	38.16	100
2.351	38.28	70
2.061	43.93	34


Record 7
Calculated powder diffraction line list of Tl3Bi4O12 for Cu Kα, from a cell relaxed with PBE.
Lines closer than 0.1° are merged.

Crystal structure
a = 7.4110 Å, b = 7.4110 Å, c = 7.4110 Å
α = 109.47°, β = 109.47°, γ = 109.47°
Element x y z (fractional)
Tl 0.0000 0.5000 0.5000
Tl 0.5000 0.0000 0.5000
Tl 0.5000 0.5000 0.0000
Bi 0.0000 0.0000 0.5000
Bi 0.0000 0.5000 0.0000
Bi 0.5000 0.0000 0.0000
Bi 0.5000 0.5000 0.5000
O 0.1321 0.3220 0.8101
O 0.1899 0.5120 0.3220
O 0.1899 0.8679 0.6780
O 0.3220 0.1899 0.5120
O 0.3220 0.8101 0.1321
O 0.4880 0.6780 0.8101
O 0.5120 0.3220 0.1899
O 0.6780 0.1899 0.8679
O 0.6780 0.8101 0.4880
O 0.8101 0.1321 0.3220
O 0.8101 0.4880 0.6780
O 0.8679 0.6780 0.1899

Top 8 peaks for 10° ≤ 2θ ≤ 90°, low angle first:
d (Å)	2theta	I_rel
6.051	14.64	13
3.494	25.50	7
3.026	29.52	100
2.139	42.24	23
1.747	52.38	48
1.513	61.28	14
1.353	69.47	20
1.144	84.78	24


Record 8
Calculated powder diffraction line list of Pm4Sn3F for Cu Kα, from a cell relaxed with PBE.
Lines closer than 0.1° are merged.

Crystal structure
a = 7.0951 Å, b = 7.0951 Å, c = 7.0951 Å
α = 123.57°, β = 81.08°, γ = 127.02°
Element x y z (fractional)
Pm 0.2224 0.0000 0.2224
Pm 0.3170 0.0553 0.7383
Pm 0.3170 0.5786 0.2617
Pm 0.7776 0.0000 0.7776
Sn 0.2454 0.5143 0.7311
Sn 0.7565 0.2565 0.5000
Sn 0.7832 0.5143 0.2689
F 0.0428 0.0428 0.0000

Top 8 peaks for 10° ≤ 2θ ≤ 90°, low angle first:
d (Å)	2theta	I_rel
2.858	31.30	61
2.848	31.41	68
2.729	32.81	100
2.696	33.23	52
2.302	39.13	39
2.117	42.71	28
1.744	52.47	29
1.429	65.30	28


Record 9
Calculated powder diffraction line list of CaCu2AgF8 for Cu Kα, from a cell relaxed with PBE.
Lines closer than 0.1° are merged.

Crystal structure
a = 6.7267 Å, b = 6.7267 Å, c = 6.7267 Å
α = 132.19°, β = 132.19°, γ = 69.92°
Element x y z (fractional)
Ca 0.0000 0.0000 0.0000
Cu 0.2500 0.7500 0.5000
Cu 0.5000 0.5000 0.0000
Ag 0.7500 0.2500 0.5000
F 0.0256 0.6490 0.0545
F 0.0290 0.9744 0.6234
F 0.1639 0.2688 0.5509
F 0.3510 0.4055 0.3766
F 0.3870 0.8361 0.1049
F 0.5945 0.9710 0.9455
F 0.7180 0.6130 0.4491
F 0.7312 0.2820 0.8951

Top 8 peaks for 10° ≤ 2θ ≤ 90°, low angle first:
d (Å)	2theta	I_rel
3.159	28.25	100
2.756	32.48	20
2.726	32.86	14
1.938	46.88	24
1.927	47.16	19
1.659	55.39	16
1.645	55.88	35
1.579	58.43	13


Record 10
Calculated powder diffraction line list of Na4Be5As6 for Cu Kα, from a cell relaxed with PBE.
Lines closer than 0.1° are merged.

Crystal structure
a = 9.0691 Å, b = 9.0691 Å, c = 16.3691 Å
α = 90.00°, β = 90.00°, γ = 155.93°
Element x y z (fractional)
Na 0.0101 0.9899 0.6223
Na 0.0101 0.9899 0.8777
Na 0.1874 0.8126 0.5690
Na 0.1874 0.8126 0.9310
Na 0.8126 0.1874 0.0690
Na 0.8126 0.1874 0.4310
Na 0.9899 0.0101 0.1223
Na 0.9899 0.0101 0.3777
Be 0.1251 0.8749 0.2500
Be 0.2698 0.7302 0.2500
Be 0.3761 0.6239 0.6334
Be 0.3761 0.6239 0.8666
Be 0.4190 0.5810 0.2500
Be 0.5810 0.4190 0.7500
Be 0.6239 0.3761 0.1334
Be 0.6239 0.3761 0.3666
Be 0.7302 0.2698 0.7500
Be 0.8749 0.1251 0.7500
As 0.1453 0.8547 0.7500
As 0.1973 0.8027 0.1332
As 0.1973 0.8027 0.3668
As 0.4318 0.5682 0.5056
As 0.4318 0.5682 0.9944
As 0.4533 0.5467 0.7500
As 0.5467 0.4533 0.2500
As 0.5682 0.4318 0.0056
As 0.5682 0.4318 0.4944
As 0.8027 0.1973 0.6332
As 0.8027 0.1973 0.8668
As 0.8547 0.1453 0.2500

Top 8 peaks for 10° ≤ 2θ ≤ 90°, low angle first:
d (Å)	2theta	I_rel
3.716	23.95	77
3.186	28.00	88
3.127	28.54	52
2.744	32.63	100
2.634	34.04	63
2.588	34.67	62
2.452	36.66	59
1.872	48.64	60


Record 11
Calculated powder diffraction line list of CaY12Tm5 for Cu Kα, from a cell relaxed with PBE.
Lines closer than 0.1° are merged.

Crystal structure
a = 10.7072 Å, b = 10.7072 Å, c = 5.0371 Å
α = 90.00°, β = 90.00°, γ = 90.17°
Element x y z (fractional)
Ca 0.0000 0.0000 0.0000
Y 0.0017 0.6632 0.0000
Y 0.1675 0.5011 0.5000
Y 0.1715 0.1715 0.5000
Y 0.3349 0.3349 0.0000
Y 0.3368 0.9983 0.0000
Y 0.4989 0.8325 0.5000
Y 0.5011 0.1675 0.5000
Y 0.6632 0.0017 0.0000
Y 0.6651 0.6651 0.0000
Y 0.8285 0.8285 0.5000
Y 0.8325 0.4989 0.5000
Y 0.9983 0.3368 0.0000
Tm 0.1735 0.8265 0.5000
Tm 0.3337 0.6663 0.0000
Tm 0.5000 0.5000 0.5000
Tm 0.6663 0.3337 0.0000
Tm 0.8265 0.1735 0.5000

Top 8 peaks for 10° ≤ 2θ ≤ 90°, low angle first:
d (Å)	2theta	I_rel
2.912	30.70	100
2.527	35.52	17
2.519	35.64	33
1.783	51.23	35
1.523	60.81	13
1.520	60.97	27
1.456	63.94	12
1.158	83.51	11


Record 12
Calculated powder diffraction line list of Ca4MgZnIn2 for Cu Kα, from a cell relaxed with PBE.
Lines closer than 0.1° are merged.

Crystal structure
a = 9.3571 Å, b = 9.3571 Å, c = 9.3571 Å
α = 33.67°, β = 33.67°, γ = 33.67°
Element x y z (fractional)
Ca 0.1203 0.1203 0.1203
Ca 0.3709 0.3709 0.3709
Ca 0.6291 0.6291 0.6291
Ca 0.8797 0.8797 0.8797
Mg 0.5000 0.5000 0.5000
Zn 0.0000 0.0000 0.0000
In 0.2453 0.2453 0.2453
In 0.7547 0.7547 0.7547

Top 8 peaks for 10° ≤ 2θ ≤ 90°, low angle first:
d (Å)	2theta	I_rel
4.420	20.09	17
3.828	23.24	12
2.707	33.09	100
2.310	39.00	7
1.914	47.50	17
1.564	59.07	26
1.560	59.25	7
1.211	79.04	7